# 1
Calculated powder diffraction line list of GaNiS2 for Cu Kα X-rays, from a DFT-relaxed cell (PBE, Alexandria).

Cell and atoms:
```
data_GaNiS2
_chemical_formula_sum 'Ga1 Ni1 S2'
_space_group_name_H-M_alt 'P 1'
_space_group_IT_number 1
_cell_length_a 3.706
_cell_length_b 3.706
_cell_length_c 6.189
_cell_angle_alpha 107.52
_cell_angle_beta 107.52
_cell_angle_gamma 59.91
loop_
_space_group_symop_operation_xyz
'x,y,z'
loop_
_atom_site_label
_atom_site_fract_x
_atom_site_fract_y
_atom_site_fract_z
_atom_site_occupancy
Ga1 0.000 0.000 0.000 1
Ni1 0.865 0.865 0.590 1
S1 0.228 0.228 0.679 1
S2 0.731 0.731 0.190 1
```

Principal peaks in the range 10° ≤ 2θ ≤ 90°, by intensity:
28.3°, rel. 100.0
49.2°, rel. 52.6
50.7°, rel. 38.6
46.2°, rel. 28.7
30.8°, rel. 24.6
34.7°, rel. 16.9
38.1°, rel. 15.9
59.2°, rel. 13.8

# 2
Calculated powder diffraction line list of GaNiS2 for Cu Kα X-rays, from a DFT-relaxed cell (PBE, Alexandria).

Cell and atoms:
```
data_GaNiS2
_chemical_formula_sum 'Ga1 Ni1 S2'
_space_group_name_H-M_alt 'P 1'
_space_group_IT_number 1
_cell_length_a 3.678
_cell_length_b 3.678
_cell_length_c 7.054
_cell_angle_alpha 89.41
_cell_angle_beta 89.70
_cell_angle_gamma 60.02
loop_
_space_group_symop_operation_xyz
'x,y,z'
loop_
_atom_site_label
_atom_site_fract_x
_atom_site_fract_y
_atom_site_fract_z
_atom_site_occupancy
Ga1 0.000 0.000 0.000 1
Ni1 0.333 0.342 0.650 1
S1 0.000 0.008 0.674 1
S2 0.667 0.664 0.147 1
```

Principal peaks in the range 10° ≤ 2θ ≤ 90°, by intensity:
12.5°, rel. 100.0
49.6°, rel. 76.6
25.3°, rel. 65.7
30.7°, rel. 60.3
30.8°, rel. 60.0
30.9°, rel. 59.7
38.3°, rel. 42.1
28.0°, rel. 38.6

# 3
Calculated powder diffraction line list of GaNi2Sb2 for Cu Kα X-rays, from a DFT-relaxed cell (PBE, Alexandria).

Cell and atoms:
```
data_GaNi2Sb2
_chemical_formula_sum 'Ga2 Ni4 Sb4'
_space_group_name_H-M_alt 'P 1'
_space_group_IT_number 1
_cell_length_a 6.852
_cell_length_b 6.852
_cell_length_c 3.760
_cell_angle_alpha 90.00
_cell_angle_beta 90.00
_cell_angle_gamma 90.00
loop_
_space_group_symop_operation_xyz
'x,y,z'
loop_
_atom_site_label
_atom_site_fract_x
_atom_site_fract_y
_atom_site_fract_z
_atom_site_occupancy
Ga1 0.000 0.000 0.000 1
Ga2 0.500 0.500 0.000 1
Ni1 0.132 0.368 0.000 1
Ni2 0.368 0.868 0.000 1
Ni3 0.632 0.132 0.000 1
Ni4 0.868 0.632 0.000 1
Sb1 0.167 0.667 0.500 1
Sb2 0.333 0.167 0.500 1
Sb3 0.667 0.833 0.500 1
Sb4 0.833 0.333 0.500 1
```

Principal peaks in the range 10° ≤ 2θ ≤ 90°, by intensity:
37.9°, rel. 100.0
41.7°, rel. 34.5
35.4°, rel. 26.6
65.8°, rel. 17.1
48.4°, rel. 16.1
61.0°, rel. 12.7
79.5°, rel. 11.6
62.6°, rel. 10.7

# 4
Calculated powder diffraction line list of GaNi7Sb2 for Cu Kα X-rays, from a DFT-relaxed cell (PBE, Alexandria).

Cell and atoms:
```
data_GaNi7Sb2
_chemical_formula_sum 'Ga1 Ni7 Sb2'
_space_group_name_H-M_alt 'P 1'
_space_group_IT_number 1
_cell_length_a 11.021
_cell_length_b 11.021
_cell_length_c 11.021
_cell_angle_alpha 161.03
_cell_angle_beta 161.03
_cell_angle_gamma 26.96
loop_
_space_group_symop_operation_xyz
'x,y,z'
loop_
_atom_site_label
_atom_site_fract_x
_atom_site_fract_y
_atom_site_fract_z
_atom_site_occupancy
Ga1 0.000 0.000 0.000 1
Ni1 0.081 0.581 0.500 1
Ni2 0.250 0.750 0.500 1
Ni3 0.419 0.919 0.500 1
Ni4 0.500 0.500 0.000 1
Ni5 0.581 0.081 0.500 1
Ni6 0.750 0.250 0.500 1
Ni7 0.919 0.419 0.500 1
Sb1 0.335 0.335 0.000 1
Sb2 0.665 0.665 0.000 1
```

Principal peaks in the range 10° ≤ 2θ ≤ 90°, by intensity:
43.4°, rel. 100.0
27.5°, rel. 36.5
50.2°, rel. 32.1
89.6°, rel. 23.1
74.5°, rel. 18.3
51.1°, rel. 14.9
24.9°, rel. 10.1
73.8°, rel. 9.5

# 5
Calculated powder diffraction line list of Ga2Ni5Sb for Cu Kα X-rays, from a DFT-relaxed cell (PBE, Alexandria).

Cell and atoms:
```
data_Ga2Ni5Sb
_chemical_formula_sum 'Ga2 Ni5 Sb1'
_space_group_name_H-M_alt 'P 1'
_space_group_IT_number 1
_cell_length_a 7.565
_cell_length_b 7.565
_cell_length_c 7.565
_cell_angle_alpha 150.96
_cell_angle_beta 150.96
_cell_angle_gamma 41.54
loop_
_space_group_symop_operation_xyz
'x,y,z'
loop_
_atom_site_label
_atom_site_fract_x
_atom_site_fract_y
_atom_site_fract_z
_atom_site_occupancy
Ga1 0.245 0.245 0.000 1
Ga2 0.755 0.755 0.000 1
Ni1 0.000 0.000 0.000 1
Ni2 0.132 0.632 0.500 1
Ni3 0.368 0.868 0.500 1
Ni4 0.632 0.132 0.500 1
Ni5 0.868 0.368 0.500 1
Sb1 0.500 0.500 0.000 1
```

Principal peaks in the range 10° ≤ 2θ ≤ 90°, by intensity:
42.3°, rel. 100.0
48.0°, rel. 34.7
85.5°, rel. 23.7
73.2°, rel. 17.2
51.7°, rel. 13.0
70.2°, rel. 10.4
30.2°, rel. 3.5
24.3°, rel. 3.2

# 6
Calculated powder diffraction line list of ScGa5Ni for Cu Kα X-rays, from a DFT-relaxed cell (PBE, Alexandria).

Cell and atoms:
```
data_ScGa5Ni
_chemical_formula_sum 'Sc1 Ga5 Ni1'
_space_group_name_H-M_alt 'P 1'
_space_group_IT_number 1
_cell_length_a 4.199
_cell_length_b 4.199
_cell_length_c 6.589
_cell_angle_alpha 90.00
_cell_angle_beta 90.00
_cell_angle_gamma 90.00
loop_
_space_group_symop_operation_xyz
'x,y,z'
loop_
_atom_site_label
_atom_site_fract_x
_atom_site_fract_y
_atom_site_fract_z
_atom_site_occupancy
Sc1 0.000 0.000 0.000 1
Ga1 0.000 0.500 0.298 1
Ga2 0.000 0.500 0.702 1
Ga3 0.500 0.000 0.298 1
Ga4 0.500 0.000 0.702 1
Ga5 0.500 0.500 0.000 1
Ni1 0.000 0.000 0.500 1
```

Principal peaks in the range 10° ≤ 2θ ≤ 90°, by intensity:
40.9°, rel. 100.0
43.1°, rel. 54.3
77.5°, rel. 28.0
33.1°, rel. 19.9
25.2°, rel. 17.8
62.6°, rel. 17.0
61.1°, rel. 13.3
41.1°, rel. 11.1

# 7
Calculated powder diffraction line list of Sc8Ga2Ni for Cu Kα X-rays, from a DFT-relaxed cell (PBE, Alexandria).

Cell and atoms:
```
data_Sc8Ga2Ni
_chemical_formula_sum 'Sc8 Ga2 Ni1'
_space_group_name_H-M_alt 'P 1'
_space_group_IT_number 1
_cell_length_a 7.874
_cell_length_b 7.874
_cell_length_c 7.874
_cell_angle_alpha 146.17
_cell_angle_beta 120.94
_cell_angle_gamma 69.83
loop_
_space_group_symop_operation_xyz
'x,y,z'
loop_
_atom_site_label
_atom_site_fract_x
_atom_site_fract_y
_atom_site_fract_z
_atom_site_occupancy
Sc1 0.127 0.127 0.000 1
Sc2 0.127 0.343 0.783 1
Sc3 0.322 0.000 0.322 1
Sc4 0.440 0.657 0.783 1
Sc5 0.560 0.343 0.217 1
Sc6 0.678 0.000 0.678 1
Sc7 0.873 0.657 0.217 1
Sc8 0.873 0.873 0.000 1
Ga1 0.302 0.802 0.500 1
Ga2 0.698 0.198 0.500 1
Ni1 0.000 0.500 0.500 1
```

Principal peaks in the range 10° ≤ 2θ ≤ 90°, by intensity:
36.8°, rel. 100.0
35.9°, rel. 32.9
39.3°, rel. 30.5
69.7°, rel. 13.3
35.4°, rel. 13.1
22.5°, rel. 12.3
42.0°, rel. 11.2
23.6°, rel. 9.9

# 8
Calculated powder diffraction line list of ScGa2Ni4 for Cu Kα X-rays, from a DFT-relaxed cell (PBE, Alexandria).

Cell and atoms:
```
data_ScGa2Ni4
_chemical_formula_sum 'Sc1 Ga2 Ni4'
_space_group_name_H-M_alt 'P 1'
_space_group_IT_number 1
_cell_length_a 6.172
_cell_length_b 5.180
_cell_length_c 4.838
_cell_angle_alpha 75.97
_cell_angle_beta 54.51
_cell_angle_gamma 49.51
loop_
_space_group_symop_operation_xyz
'x,y,z'
loop_
_atom_site_label
_atom_site_fract_x
_atom_site_fract_y
_atom_site_fract_z
_atom_site_occupancy
Sc1 0.000 0.000 0.000 1
Ga1 0.316 0.316 0.684 1
Ga2 0.684 0.684 0.316 1
Ni1 0.250 0.250 0.250 1
Ni2 0.302 0.698 0.302 1
Ni3 0.698 0.302 0.698 1
Ni4 0.750 0.750 0.750 1
```

Principal peaks in the range 10° ≤ 2θ ≤ 90°, by intensity:
48.1°, rel. 100.0
47.3°, rel. 92.7
36.4°, rel. 69.3
43.5°, rel. 45.1
39.6°, rel. 40.4
42.6°, rel. 35.6
41.7°, rel. 33.5
89.1°, rel. 26.2

# 9
Calculated powder diffraction line list of Sc3GaNi3 for Cu Kα X-rays, from a DFT-relaxed cell (PBE, Alexandria).

Cell and atoms:
```
data_Sc3GaNi3
_chemical_formula_sum 'Sc6 Ga2 Ni6'
_space_group_name_H-M_alt 'P 1'
_space_group_IT_number 1
_cell_length_a 5.024
_cell_length_b 5.024
_cell_length_c 12.326
_cell_angle_alpha 90.00
_cell_angle_beta 90.00
_cell_angle_gamma 132.47
loop_
_space_group_symop_operation_xyz
'x,y,z'
loop_
_atom_site_label
_atom_site_fract_x
_atom_site_fract_y
_atom_site_fract_z
_atom_site_occupancy
Sc1 0.017 0.983 0.750 1
Sc2 0.297 0.703 0.606 1
Sc3 0.297 0.703 0.894 1
Sc4 0.703 0.297 0.106 1
Sc5 0.703 0.297 0.394 1
Sc6 0.983 0.017 0.250 1
Ga1 0.000 0.000 0.000 1
Ga2 0.000 0.000 0.500 1
Ni1 0.267 0.733 0.250 1
Ni2 0.412 0.588 0.092 1
Ni3 0.412 0.588 0.408 1
Ni4 0.588 0.412 0.592 1
Ni5 0.588 0.412 0.908 1
Ni6 0.733 0.267 0.750 1
```

Principal peaks in the range 10° ≤ 2θ ≤ 90°, by intensity:
43.1°, rel. 100.0
38.0°, rel. 96.7
36.8°, rel. 57.0
44.8°, rel. 55.2
24.1°, rel. 35.9
44.1°, rel. 29.4
50.8°, rel. 23.8
45.2°, rel. 23.2

# 10
Calculated powder diffraction line list of Ga2Si2Ni7 for Cu Kα X-rays, from a DFT-relaxed cell (PBE, Alexandria).

Cell and atoms:
```
data_Ga2Si2Ni7
_chemical_formula_sum 'Ga2 Si2 Ni7'
_space_group_name_H-M_alt 'P 1'
_space_group_IT_number 1
_cell_length_a 3.705
_cell_length_b 3.705
_cell_length_c 11.201
_cell_angle_alpha 90.00
_cell_angle_beta 90.00
_cell_angle_gamma 90.00
loop_
_space_group_symop_operation_xyz
'x,y,z'
loop_
_atom_site_label
_atom_site_fract_x
_atom_site_fract_y
_atom_site_fract_z
_atom_site_occupancy
Ga1 0.000 0.500 0.122 1
Ga2 0.500 0.000 0.878 1
Si1 0.000 0.500 0.623 1
Si2 0.500 0.000 0.377 1
Ni1 0.000 0.000 0.263 1
Ni2 0.000 0.000 0.500 1
Ni3 0.000 0.000 0.737 1
Ni4 0.500 0.500 0.000 1
Ni5 0.500 0.500 0.256 1
Ni6 0.500 0.500 0.500 1
Ni7 0.500 0.500 0.744 1
```

Principal peaks in the range 10° ≤ 2θ ≤ 90°, by intensity:
47.5°, rel. 100.0
49.2°, rel. 46.2
28.9°, rel. 44.6
34.2°, rel. 19.7
87.3°, rel. 14.7
72.1°, rel. 14.2
35.2°, rel. 12.2
25.3°, rel. 11.8

# 11
Calculated powder diffraction line list of Ga3SiNi7 for Cu Kα X-rays, from a DFT-relaxed cell (PBE, Alexandria).

Cell and atoms:
```
data_Ga3SiNi7
_chemical_formula_sum 'Ga3 Si1 Ni7'
_space_group_name_H-M_alt 'P 1'
_space_group_IT_number 1
_cell_length_a 5.880
_cell_length_b 5.880
_cell_length_c 4.581
_cell_angle_alpha 108.14
_cell_angle_beta 108.14
_cell_angle_gamma 91.53
loop_
_space_group_symop_operation_xyz
'x,y,z'
loop_
_atom_site_label
_atom_site_fract_x
_atom_site_fract_y
_atom_site_fract_z
_atom_site_occupancy
Ga1 0.000 0.000 0.000 1
Ga2 0.215 0.785 0.500 1
Ga3 0.785 0.215 0.500 1
Si1 0.500 0.500 0.000 1
Ni1 0.083 0.582 0.828 1
Ni2 0.212 0.212 0.553 1
Ni3 0.418 0.917 0.172 1
Ni4 0.500 0.500 0.500 1
Ni5 0.582 0.083 0.828 1
Ni6 0.788 0.788 0.447 1
Ni7 0.917 0.418 0.172 1
```

Principal peaks in the range 10° ≤ 2θ ≤ 90°, by intensity:
45.3°, rel. 100.0
42.9°, rel. 63.7
39.6°, rel. 62.8
49.4°, rel. 53.6
44.2°, rel. 33.0
59.9°, rel. 28.9
46.7°, rel. 22.9
34.9°, rel. 20.0

# 12
Calculated powder diffraction line list of ThGaSiNi6 for Cu Kα X-rays, from a DFT-relaxed cell (PBE, Alexandria).

Cell and atoms:
```
data_ThGaSiNi6
_chemical_formula_sum 'Th2 Ga2 Si2 Ni12'
_space_group_name_H-M_alt 'P 1'
_space_group_IT_number 1
_cell_length_a 7.358
_cell_length_b 7.358
_cell_length_c 7.358
_cell_angle_alpha 126.79
_cell_angle_beta 119.34
_cell_angle_gamma 84.91
loop_
_space_group_symop_operation_xyz
'x,y,z'
loop_
_atom_site_label
_atom_site_fract_x
_atom_site_fract_y
_atom_site_fract_z
_atom_site_occupancy
Th1 0.472 0.222 0.250 1
Th2 0.528 0.778 0.750 1
Ga1 0.000 0.000 0.500 1
Ga2 0.000 0.500 0.000 1
Si1 0.000 0.000 0.000 1
Si2 0.500 0.000 0.500 1
Ni1 0.107 0.412 0.295 1
Ni2 0.107 0.812 0.696 1
Ni3 0.148 0.898 0.250 1
Ni4 0.268 0.518 0.750 1
Ni5 0.384 0.188 0.795 1
Ni6 0.384 0.588 0.196 1
Ni7 0.616 0.412 0.804 1
Ni8 0.616 0.812 0.205 1
Ni9 0.732 0.482 0.250 1
Ni10 0.852 0.102 0.750 1
Ni11 0.893 0.188 0.304 1
Ni12 0.893 0.588 0.705 1
```

Principal peaks in the range 10° ≤ 2θ ≤ 90°, by intensity:
30.8°, rel. 100.0
36.4°, rel. 97.9
41.2°, rel. 70.3
38.9°, rel. 69.0
37.3°, rel. 67.7
29.1°, rel. 60.8
49.0°, rel. 49.2
14.4°, rel. 47.3